Calculated XRD peak list of KBa2BiO5 for Cu Kα X-rays, from the GGA-PBE geometry in Alexandria.

Main lines, in order of falling intensity (10° ≤ 2θ ≤ 90°):
two_theta, d_spacing, I_rel, hkl
28.48, 3.134, 100, 1 1 2
15.25, 5.810, 53, 0 1 1
27.10, 3.290, 27, 0 2 0
40.00, 2.254, 24, 0 2 4
48.75, 1.868, 23, 1 3 2
40.73, 2.215, 18, 1 2 3
28.86, 3.094, 17, 0 0 4
58.94, 1.567, 15, 2 2 4
41.42, 2.180, 14, 2 0 0
38.87, 2.317, 14, 0 1 5
50.90, 1.794, 12, 1 1 6
50.21, 1.817, 10, 2 2 0

Atomic structure:
Cell: 4.3595 6.5803 12.3765 Å, 90.00 90.00 90.00°
Space group Immm (No. 71)
Inequivalent atoms, fractional coordinates:
K (0.0000, 0.0000, 0.0000) [2 per cell]
Ba (0.0000, 0.5000, 0.2222) [4 per cell]
Bi (0.0000, 0.0000, 0.5000) [2 per cell]
O (0.0000, 0.2203, 0.3712) [8 per cell]
O (0.0000, 0.5000, 0.0000) [2 per cell]



Calculated XRD peak list of KBa2SmBi2O9 for Cu Kα X-rays, from the GGA-PBE geometry in Alexandria.

Main lines, in order of falling intensity (10° ≤ 2θ ≤ 90°):
two_theta, d_spacing, I_rel, hkl
27.56, 3.236, 100, 1 1 0
26.19, 3.403, 84, 1 0 2
10.33, 8.563, 71, 0 0 1
38.38, 2.345, 45, 0 2 2
47.90, 1.899, 39, 2 1 2
35.29, 2.544, 31, 1 0 3
53.89, 1.701, 29, 2 1 3
45.35, 2.000, 26, 0 2 3
63.68, 1.461, 24, 1 3 2
29.50, 3.027, 24, 1 1 1
70.73, 1.332, 20, 4 0 2
48.73, 1.869, 20, 3 0 0

Atomic structure:
Cell: 6.4729 6.4729 8.5632 Å, 90.00 90.00 120.00°
Space group P-3m1 (No. 164)
Inequivalent atoms, fractional coordinates:
K (0.0000, 0.0000, 0.0000) [1 per cell]
Ba (0.3333, 0.6667, 0.7793) [2 per cell]
Sm (0.0000, 0.0000, 0.5000) [1 per cell]
Bi (0.3333, 0.6667, 0.3673) [2 per cell]
O (0.0000, 0.5000, 0.5000) [3 per cell]
O (0.1235, 0.2470, 0.7321) [6 per cell]